Structure and theoretical powder diffraction line list of RuC4I2O4 (DFT lattice parameters and positions (PBE); λ = 1.5418 Å (Cu Kα)).
Neutral-atom scattering factors, no anomalous dispersion.

Crystal structure
Unit cell a=6.898 b=6.898 c=13.372 alpha=92.56 beta=92.56 gamma=112.58
Element x y z (fractional)
1 Ru 0.003 0.997 0.750
2 Ru 0.997 0.003 0.250
3 C 0.002 0.221 0.840
4 C 0.186 0.228 0.173
5 C 0.221 0.002 0.340
6 C 0.228 0.186 0.673
7 C 0.772 0.814 0.327
8 C 0.779 0.998 0.660
9 C 0.814 0.772 0.827
10 C 0.998 0.779 0.160
11 I 0.014 0.671 0.623
12 I 0.329 0.986 0.877
13 I 0.671 0.014 0.123
14 I 0.986 0.329 0.377
15 O 0.001 0.355 0.895
16 O 0.293 0.363 0.129
17 O 0.355 0.001 0.395
18 O 0.363 0.293 0.629
19 O 0.637 0.707 0.371
20 O 0.645 0.999 0.605
21 O 0.707 0.637 0.871
22 O 0.999 0.645 0.105

Main lines, low angle first (2θ from 5° to 70°):
2θ/deg	I_rel
13.3	23
13.9	100
15.0	65
16.8	32
18.6	52
20.4	21
25.2	21
26.0	58
26.7	20
29.8	76
31.0	22
42.7	28